# CaMgH4
Simulated powder diffractogram, Cu Kα X-rays. Input: a DFT-relaxed cell (PBE, Alexandria).
No peak broadening, texture or thermal motion is included.

Cell and atoms:
```
data_CaMgH4
_cell_length_a 5.1972
_cell_length_b 5.1177
_cell_length_c 5.1007
_cell_angle_alpha 90.00
_cell_angle_beta 97.69
_cell_angle_gamma 90.00
_symmetry_space_group_name_H-M 'C 1 m 1'
_symmetry_Int_Tables_number 8
loop_
_symmetry_equiv_pos_as_xyz
'x,y,z'
'x,-y,z'
'x+1/2,y+1/2,z'
'x+1/2,-y+1/2,z'
loop_
_atom_site_label
_atom_site_type_symbol
_atom_site_fract_x
_atom_site_fract_y
_atom_site_fract_z
_atom_site_occupancy
Ca1 Ca 0.0000 0.0000 0.0000 1
Mg1 Mg 0.0030 0.5000 0.4985 1
H1 H 0.2070 0.2534 0.7344 1
H2 H 0.2924 0.2475 0.2685 1
```

The 12 most intense peaks (2θ from 10° to 90°), by angle:
index	2θ (°)	I_rel
1 1 -1	28.9	100
1 1 1	31.7	77
2 0 0	34.8	25
0 2 0	35.1	24
0 0 2	35.5	24
2 0 -2	46.9	14
2 2 0	50.3	21
0 2 2	50.8	21
3 1 -1	57.2	13
1 1 -3	58.1	12
1 3 -1	59.2	11
1 3 1	60.8	10